CaLaAl3O7: theoretical powder XRD pattern (Cu Ka), based on the GGA-PBE geometry in the Materials Project.
Intensities are scaled so that the largest is 100.

Cell and atoms:
a = 10.991 Å, b = 11.238 Å, c = 5.195 Å
α = 90.00°, β = 90.00°, γ = 90.00°
Space group Cmm2 (No. 35)
One atom of each set of equivalent atoms:
Ca (0.160, 0.000, 0.000) [4 per cell]
La (0.000, 0.335, 0.977) [4 per cell]
Al (0.000, 0.140, 0.528) [4 per cell]
Al (0.147, 0.500, 0.444) [4 per cell]
Al (0.250, 0.250, 0.481) [4 per cell]
O (0.000, 0.000, 0.676) [2 per cell]
O (0.000, 0.143, 0.192) [4 per cell]
O (0.000, 0.500, 0.302) [2 per cell]
O (0.124, 0.214, 0.679) [8 per cell]
O (0.139, 0.500, 0.780) [4 per cell]
O (0.212, 0.375, 0.288) [8 per cell]

Peak list (8 most intense, 2θ = 5–70°, low angle first)
Position (°2θ)	I_rel	(hkl)
11.26	27	1 1 0
16.13	38	2 0 0
23.57	47	2 0 1
28.48	37	2 2 1
30.52	100	1 3 1
30.91	56	3 1 1
36.40	27	4 2 0
43.17	23	1 3 2